Entry 1:
Lu3Ge13Ru4: simulated powder diffraction line list (λ = 1.5418 Å (Cu Kα)), based on a structure optimized by DFT (GGA-PBE).
Kinematic intensities with the Lorentz-polarization factor, no thermal factor.

Top 6 peaks for 2θ from 10° to 90°, sorted by position:
d (Å), I_rel
4.019, 19
2.594, 23
2.493, 100
2.402, 39
2.247, 33
1.355, 21

Structure:
Unit cell a=8.987 b=8.987 c=8.987 alpha=90.00 beta=90.00 gamma=90.00
Positions (direct):
Lu 0.000 0.250 0.500
Lu 0.000 0.750 0.500
Lu 0.250 0.500 0.000
Lu 0.500 0.000 0.250
Lu 0.500 0.000 0.750
Lu 0.750 0.500 0.000
Ge 0.000 0.000 0.000
Ge 0.000 0.304 0.147
Ge 0.000 0.304 0.853
Ge 0.000 0.696 0.147
Ge 0.000 0.696 0.853
Ge 0.147 0.000 0.304
Ge 0.147 0.000 0.696
Ge 0.196 0.500 0.353
Ge 0.196 0.500 0.647
Ge 0.304 0.147 0.000
Ge 0.304 0.853 0.000
Ge 0.353 0.196 0.500
Ge 0.353 0.804 0.500
Ge 0.500 0.353 0.196
Ge 0.500 0.353 0.804
Ge 0.500 0.500 0.500
Ge 0.500 0.647 0.196
Ge 0.500 0.647 0.804
Ge 0.647 0.196 0.500
Ge 0.647 0.804 0.500
Ge 0.696 0.147 0.000
Ge 0.696 0.853 0.000
Ge 0.804 0.500 0.353
Ge 0.804 0.500 0.647
Ge 0.853 0.000 0.304
Ge 0.853 0.000 0.696
Ru 0.250 0.250 0.250
Ru 0.250 0.250 0.750
Ru 0.250 0.750 0.250
Ru 0.250 0.750 0.750
Ru 0.750 0.250 0.250
Ru 0.750 0.250 0.750
Ru 0.750 0.750 0.250
Ru 0.750 0.750 0.750


Entry 2:
LiSn4Se5: simulated powder diffraction line list (λ = 1.5418 Å (Cu Kα)), based on a structure optimized by DFT (GGA-PBE).
Kinematic intensities with the Lorentz-polarization factor, no thermal factor.

Top 6 peaks for 2θ from 10° to 90°, sorted by position:
d (Å), I_rel
2.962, 90
2.951, 43
2.092, 100
1.708, 35
1.324, 30
1.208, 23

Structure:
Unit cell a=7.251 b=7.251 c=7.251 alpha=99.53 beta=99.53 gamma=131.97
Positions (direct):
Li 0.000 0.000 0.000
Sn 0.205 0.406 0.607
Sn 0.406 0.799 0.201
Sn 0.597 0.205 0.799
Sn 0.799 0.597 0.393
Se 0.098 0.706 0.801
Se 0.297 0.098 0.392
Se 0.502 0.502 0.000
Se 0.706 0.905 0.608
Se 0.905 0.297 0.199


Entry 3:
AlSiNi: simulated powder diffraction line list (λ = 1.5418 Å (Cu Kα)), based on a structure optimized by DFT (GGA-PBE).
Kinematic intensities with the Lorentz-polarization factor, no thermal factor.

Top 6 peaks for 2θ from 10° to 90°, sorted by position:
d (Å), I_rel
4.612, 43
3.023, 35
2.440, 24
2.119, 25
1.999, 100
1.940, 24

Structure:
Unit cell a=4.612 b=7.158 c=4.829 alpha=90.00 beta=90.00 gamma=90.00
Positions (direct):
Al 0.132 0.127 0.250
Al 0.132 0.373 0.750
Al 0.868 0.627 0.250
Al 0.868 0.873 0.750
Si 0.350 0.750 0.000
Si 0.350 0.750 0.500
Si 0.650 0.250 0.000
Si 0.650 0.250 0.500
Ni 0.368 0.035 0.750
Ni 0.368 0.465 0.250
Ni 0.632 0.535 0.750
Ni 0.632 0.965 0.250


Entry 4:
Ba2TlSn3: simulated powder diffraction line list (λ = 1.5418 Å (Cu Kα)), based on a structure optimized by DFT (GGA-PBE).
Kinematic intensities with the Lorentz-polarization factor, no thermal factor.

Top 6 peaks for 2θ from 10° to 90°, sorted by position:
d (Å), I_rel
3.372, 48
3.250, 100
2.603, 61
2.469, 26
2.441, 25
1.791, 40

Structure:
Unit cell a=10.469 b=10.443 c=6.944 alpha=70.81 beta=70.40 gamma=38.79
Positions (direct):
Ba 0.245 0.755 0.245
Ba 0.250 0.250 0.250
Ba 0.750 0.750 0.750
Ba 0.755 0.245 0.755
Tl 0.332 0.332 0.668
Tl 0.668 0.668 0.332
Sn 0.166 0.166 0.834
Sn 0.168 0.672 0.832
Sn 0.328 0.832 0.672
Sn 0.672 0.168 0.328
Sn 0.832 0.328 0.168
Sn 0.834 0.834 0.166


Entry 5:
ThNbCd4: simulated powder diffraction line list (λ = 1.5418 Å (Cu Kα)), based on a structure optimized by DFT (GGA-PBE).
Kinematic intensities with the Lorentz-polarization factor, no thermal factor.

Top 6 peaks for 2θ from 10° to 90°, sorted by position:
d (Å), I_rel
2.892, 37
2.466, 100
2.361, 31
1.669, 15
1.574, 33
1.446, 26

Structure:
Unit cell a=5.783 b=5.783 c=5.783 alpha=60.00 beta=60.00 gamma=60.00
Positions (direct):
Th 0.000 0.000 0.000
Nb 0.250 0.250 0.250
Cd 0.128 0.624 0.624
Cd 0.624 0.128 0.624
Cd 0.624 0.624 0.128
Cd 0.624 0.624 0.624


What did the third record say?
AlSiNi: simulated powder diffraction line list (λ = 1.5418 Å (Cu Kα)), based on a structure optimized by DFT (GGA-PBE).
Kinematic intensities with the Lorentz-polarization factor, no thermal factor.

Top 6 peaks for 2θ from 10° to 90°, sorted by position:
d (Å), I_rel
4.612, 43
3.023, 35
2.440, 24
2.119, 25
1.999, 100
1.940, 24

Structure:
Unit cell a=4.612 b=7.158 c=4.829 alpha=90.00 beta=90.00 gamma=90.00
Positions (direct):
Al 0.132 0.127 0.250
Al 0.132 0.373 0.750
Al 0.868 0.627 0.250
Al 0.868 0.873 0.750
Si 0.350 0.750 0.000
Si 0.350 0.750 0.500
Si 0.650 0.250 0.000
Si 0.650 0.250 0.500
Ni 0.368 0.035 0.750
Ni 0.368 0.465 0.250
Ni 0.632 0.535 0.750
Ni 0.632 0.965 0.250


What did the first record say?
Lu3Ge13Ru4: simulated powder diffraction line list (λ = 1.5418 Å (Cu Kα)), based on a structure optimized by DFT (GGA-PBE).
Kinematic intensities with the Lorentz-polarization factor, no thermal factor.

Top 6 peaks for 2θ from 10° to 90°, sorted by position:
d (Å), I_rel
4.019, 19
2.594, 23
2.493, 100
2.402, 39
2.247, 33
1.355, 21

Structure:
Unit cell a=8.987 b=8.987 c=8.987 alpha=90.00 beta=90.00 gamma=90.00
Positions (direct):
Lu 0.000 0.250 0.500
Lu 0.000 0.750 0.500
Lu 0.250 0.500 0.000
Lu 0.500 0.000 0.250
Lu 0.500 0.000 0.750
Lu 0.750 0.500 0.000
Ge 0.000 0.000 0.000
Ge 0.000 0.304 0.147
Ge 0.000 0.304 0.853
Ge 0.000 0.696 0.147
Ge 0.000 0.696 0.853
Ge 0.147 0.000 0.304
Ge 0.147 0.000 0.696
Ge 0.196 0.500 0.353
Ge 0.196 0.500 0.647
Ge 0.304 0.147 0.000
Ge 0.304 0.853 0.000
Ge 0.353 0.196 0.500
Ge 0.353 0.804 0.500
Ge 0.500 0.353 0.196
Ge 0.500 0.353 0.804
Ge 0.500 0.500 0.500
Ge 0.500 0.647 0.196
Ge 0.500 0.647 0.804
Ge 0.647 0.196 0.500
Ge 0.647 0.804 0.500
Ge 0.696 0.147 0.000
Ge 0.696 0.853 0.000
Ge 0.804 0.500 0.353
Ge 0.804 0.500 0.647
Ge 0.853 0.000 0.304
Ge 0.853 0.000 0.696
Ru 0.250 0.250 0.250
Ru 0.250 0.250 0.750
Ru 0.250 0.750 0.250
Ru 0.250 0.750 0.750
Ru 0.750 0.250 0.250
Ru 0.750 0.250 0.750
Ru 0.750 0.750 0.250
Ru 0.750 0.750 0.750